Diffraction record for Li5Mn3O8. The powder X-ray diffraction pattern is theoretical, not measured: it uses a cell relaxed with PBE+U and Cu Kα (λ = 1.5418 Å).
Intensities are scaled so that the largest is 100.

Main lines, in order of rising 2θ (10 to 90 degrees two-theta):
| h k l | 2θ/deg | d_spacing | I (rel.) |
| --- | --- | --- | --- |
| 0 0 1 | 14.93 | 5.935 | 16 |
| 0 1 0 | 18.41 | 4.819 | 100 |
| 1 1 -2 | 42.51 | 2.127 | 34 |
| 1 1 2 | 44.09 | 2.054 | 31 |
| 2 -2 0 | 44.20 | 2.049 | 31 |
| 0 0 4 | 62.59 | 1.484 | 17 |

Structural model:
```
Li5Mn3O8
1.0
5.0061 0.0000 0.0000
-1.6232 4.8210 0.0000
-0.1188 -0.1681 5.9349
Li Mn O
5 3 8
direct
0.0000 0.0000 0.0000 Li
0.0000 0.4940 0.7622 Li
0.0013 0.0045 0.5316 Li
0.4847 0.9901 0.7755 Li
0.5089 0.0037 0.2618 Li
0.0045 0.5088 0.2575 Mn
0.5002 0.5018 0.5170 Mn
0.5006 0.4990 0.0046 Mn
0.2512 0.7323 0.4950 O
0.2531 0.7211 0.0286 O
0.2642 0.2891 0.2547 O
0.2672 0.2538 0.7836 O
0.7136 0.7262 0.7714 O
0.7518 0.2802 0.0250 O
0.7654 0.2892 0.4859 O
0.7657 0.7372 0.2396 O
```